Theoretical powder XRD pattern
Compound: ZrGe3N2O9
Radiation: CuKα
Structure: a structure optimized by DFT (GGA-PBE)
Intensities are scaled so that the largest is 100.

Crystal structure
```
ZrGe3N2O9
1.0
7.3814 0.0000 0.0000
-3.6907 6.3925 0.0000
0.0000 0.0000 10.6992
Zr Ge N O
2 6 4 18
direct
0.0000 0.0000 0.0000
0.0000 0.0000 0.5000
0.1264 0.7370 0.2500
0.2630 0.3894 0.2500
0.3894 0.1264 0.7500
0.6106 0.8736 0.2500
0.7370 0.6106 0.7500
0.8736 0.2630 0.7500
0.3333 0.6667 0.5560
0.3333 0.6667 0.9440
0.6667 0.3333 0.0560
0.6667 0.3333 0.4440
0.0116 0.7778 0.1177
0.0116 0.7778 0.3823
0.0773 0.4768 0.2500
0.2222 0.2338 0.1177
0.2222 0.2338 0.3823
0.2338 0.0116 0.6177
0.2338 0.0116 0.8823
0.3994 0.9227 0.2500
0.4768 0.3994 0.7500
0.5232 0.6006 0.2500
0.6006 0.0773 0.7500
0.7662 0.9884 0.1177
0.7662 0.9884 0.3823
0.7778 0.7662 0.6177
0.7778 0.7662 0.8823
0.9227 0.5232 0.7500
0.9884 0.2222 0.6177
0.9884 0.2222 0.8823
```

Largest 6 diffraction maxima, in order of falling intensity, 2θ from 5° to 70°:
Position (°2θ)	I/Imax
29.40	100.0
16.15	91.6
13.85	76.7
21.66	75.0
29.16	65.5
25.53	63.9

***

Theoretical powder XRD pattern
Compound: CeO2
Radiation: CuKα
Structure: a structure optimized by DFT (GGA-PBE)
Intensities are scaled so that the largest is 100.

Crystal structure
```
CeO2
1.0
5.1347 0.0000 0.0000
0.0000 5.1347 0.0000
0.0000 0.0000 3.6364
Ce O
2 4
direct
0.0000 0.0000 0.0000
0.5000 0.5000 0.5000
0.1873 0.1873 0.5000
0.3127 0.6873 0.0000
0.6873 0.3127 0.0000
0.8127 0.8127 0.5000
```

Largest 6 diffraction maxima, in order of falling intensity, 2θ from 5° to 70°:
Position (°2θ)	I/Imax
24.52	100.0
30.11	89.9
46.79	72.8
56.65	35.5
34.95	28.6
50.23	25.7

***

Theoretical powder XRD pattern
Compound: Mn3Fe2SiC
Radiation: CuKα
Structure: a structure optimized by DFT (GGA-PBE)
Intensities are scaled so that the largest is 100.

Crystal structure
```
Mn3Fe2SiC
1.0
4.9826 -3.9269 0.0000
4.9826 3.9269 0.0000
0.0000 0.0000 7.4139
Mn Fe Si C
12 8 4 4
direct
0.0139 0.6909 0.8032
0.0157 0.6864 0.1767
0.0360 0.9640 0.5000
0.3091 0.9861 0.8032
0.3136 0.9843 0.1767
0.3532 0.6468 0.9900
0.6468 0.3532 0.4900
0.6864 0.0157 0.6767
0.6909 0.0139 0.3032
0.9640 0.0360 0.0000
0.9843 0.3136 0.6767
0.9861 0.3091 0.3032
0.1926 0.5665 0.4883
0.3742 0.3785 0.7394
0.3785 0.3742 0.2394
0.4335 0.8074 0.4883
0.5665 0.1926 0.9883
0.6215 0.6258 0.7394
0.6258 0.6215 0.2394
0.8074 0.4335 0.9883
0.1724 0.3221 0.9897
0.3221 0.1724 0.4897
0.6779 0.8276 0.9897
0.8276 0.6779 0.4897
0.3037 0.6963 0.6997
0.3084 0.6916 0.2770
0.6916 0.3084 0.7770
0.6963 0.3037 0.1997
```

Largest 6 diffraction maxima, in order of falling intensity, 2θ from 5° to 70°:
Position (°2θ)	I/Imax
43.27	100.0
44.78	46.0
47.28	42.8
44.04	37.1
43.78	27.3
49.84	22.7

***

Theoretical powder XRD pattern
Compound: U3O10
Radiation: CuKα
Structure: a structure optimized by DFT (GGA-PBE)
Intensities are scaled so that the largest is 100.

Crystal structure
```
U3O10
1.0
6.9796 0.0000 0.0000
0.0000 19.1041 0.0000
-3.7154 0.0000 6.3482
U O
12 40
direct
0.2193 0.1566 0.2609
0.2193 0.3434 0.7609
0.2552 0.5332 0.7481
0.2552 0.9668 0.2481
0.2749 0.7441 0.2365
0.2749 0.7559 0.7365
0.7251 0.2441 0.2635
0.7251 0.2559 0.7635
0.7448 0.0332 0.7519
0.7448 0.4668 0.2519
0.7807 0.6566 0.2391
0.7807 0.8434 0.7391
0.0362 0.0612 0.0991
0.0362 0.4388 0.5991
0.0579 0.7422 0.3810
0.0579 0.7578 0.8810
0.0766 0.5528 0.8528
0.0766 0.9472 0.3528
0.1940 0.1668 0.4946
0.1940 0.3332 0.9946
0.2448 0.1663 0.0272
0.2448 0.3337 0.5272
0.2736 0.6578 0.7191
0.2736 0.8422 0.2191
0.2780 0.6494 0.2629
0.2780 0.8506 0.7629
0.4318 0.0655 0.4234
0.4318 0.4345 0.9234
0.4379 0.5279 0.6417
0.4379 0.9721 0.1417
0.4888 0.7333 0.0911
0.4888 0.7667 0.5911
0.5112 0.2333 0.4089
0.5112 0.2667 0.9089
0.5621 0.0279 0.8583
0.5621 0.4721 0.3583
0.5682 0.5655 0.0766
0.5682 0.9345 0.5766
0.7220 0.1494 0.2371
0.7220 0.3506 0.7371
0.7264 0.1578 0.7809
0.7264 0.3422 0.2809
0.7552 0.6663 0.4728
0.7552 0.8337 0.9728
0.8060 0.6668 0.0054
0.8060 0.8332 0.5054
0.9234 0.0528 0.6472
0.9234 0.4472 0.1472
0.9421 0.2422 0.1190
0.9421 0.2578 0.6190
0.9638 0.5612 0.4009
0.9638 0.9388 0.9009
```

Largest 6 diffraction maxima, in order of falling intensity, 2θ from 5° to 70°:
Position (°2θ)	I/Imax
15.01	100.0
27.65	76.5
28.11	42.1
23.31	39.6
29.66	33.2
28.77	32.3

***

Theoretical powder XRD pattern
Compound: SrCuH6O5
Radiation: CuKα
Structure: a structure optimized by DFT (GGA-PBE)
Intensities are scaled so that the largest is 100.

Crystal structure
```
SrCuH6O5
1.0
5.4674 0.0000 0.0000
0.0000 6.2967 0.0000
-2.4379 0.0000 7.5957
Sr Cu H O
2 2 12 10
direct
0.0000 0.0506 0.2500
0.0000 0.9494 0.7500
0.0000 0.5000 0.0000
0.0000 0.5000 0.5000
0.3370 0.2364 0.0243
0.3370 0.7636 0.5243
0.3671 0.4467 0.3941
0.3671 0.5533 0.8941
0.4325 0.2059 0.6457
0.4325 0.7941 0.1457
0.5675 0.2059 0.8543
0.5675 0.7941 0.3543
0.6329 0.4467 0.1059
0.6329 0.5533 0.6059
0.6630 0.2364 0.4757
0.6630 0.7636 0.9757
0.1514 0.2218 0.0002
0.1514 0.7782 0.5002
0.2829 0.3424 0.4482
0.2829 0.6576 0.9482
0.5000 0.1109 0.7500
0.5000 0.8891 0.2500
0.7171 0.3424 0.0518
0.7171 0.6576 0.5518
0.8486 0.2218 0.4998
0.8486 0.7782 0.9998
```

Largest 6 diffraction maxima, in order of falling intensity, 2θ from 5° to 70°:
Position (°2θ)	I/Imax
27.43	100.0
17.03	99.3
28.31	51.4
38.22	32.8
36.20	31.3
33.25	29.1

***

Theoretical powder XRD pattern
Compound: K2Re
Radiation: CuKα
Structure: a structure optimized by DFT (GGA-PBE)
Intensities are scaled so that the largest is 100.

Crystal structure
```
K2Re
1.0
2.7506 0.0000 0.0000
0.0000 9.1984 5.3067
0.0000 -9.1984 5.3067
K Re
6 3
direct
0.0000 0.0000 0.0000
0.0000 0.3106 0.6204
0.0000 0.6204 0.3106
0.5000 0.3099 0.9527
0.5000 0.6680 0.6680
0.5000 0.9527 0.3099
0.0000 0.6430 0.9769
0.0000 0.9769 0.6430
0.5000 0.3101 0.3101
```

Largest 6 diffraction maxima, in order of falling intensity, 2θ from 5° to 70°:
Position (°2θ)	I/Imax
16.70	100.0
29.14	91.5
41.89	32.0
38.13	24.3
34.02	23.8
33.77	19.5